# 1
The following is a calculated X-ray powder pattern of HfInPd5. It was derived from the PBE geometry in Alexandria, using Cu Kα X-rays.

Structure:
```
HfInPd5
1.0
4.6462 0.0000 0.0000
0.0000 4.6462 0.0000
0.0000 0.0000 5.8850
Hf In Pd
1 1 5
Direct
0.0000 0.0000 0.0000
0.5000 0.5000 0.5000
0.0000 0.0000 0.5000
0.0000 0.5000 0.2404
0.0000 0.5000 0.7596
0.5000 0.0000 0.2404
0.5000 0.0000 0.7596
```

Largest 12 diffraction maxima, sorted by position, 2θ = 10–80°:
19.10°, rel. 14; 24.41°, rel. 19; 36.13°, rel. 6; 38.76°, rel. 60; 41.18°, rel. 100; 43.56°, rel. 3; 46.34°, rel. 7; 54.03°, rel. 4; 55.98°, rel. 20; 63.20°, rel. 7; 71.81°, rel. 38; 76.67°, rel. 15

---

# 2
The following is a calculated X-ray powder pattern of NdSc4Te6. It was derived from the PBE geometry in Alexandria, using Cu Kα X-rays.

Structure:
```
NdSc4Te6
1.0
2.0884 -6.8625 0.0000
2.0884 6.8625 0.0000
0.0000 0.0000 21.4665
Nd Sc Te
2 8 12
Direct
0.1514 0.8486 0.7500
0.8486 0.1514 0.2500
0.0933 0.9067 0.1226
0.0933 0.9067 0.3774
0.3538 0.6462 0.0340
0.3538 0.6462 0.4660
0.6462 0.3538 0.5340
0.6462 0.3538 0.9660
0.9067 0.0933 0.6226
0.9067 0.0933 0.8774
0.0000 0.0000 0.0000
0.0000 0.0000 0.5000
0.1753 0.8247 0.2500
0.2649 0.7351 0.5918
0.2649 0.7351 0.9082
0.4528 0.5472 0.1580
0.4528 0.5472 0.3420
0.5472 0.4528 0.6580
0.5472 0.4528 0.8420
0.7351 0.2649 0.0918
0.7351 0.2649 0.4082
0.8247 0.1753 0.7500
```

Largest 12 diffraction maxima, sorted by position, 2θ = 10–80°:
27.84°, rel. 43; 28.13°, rel. 86; 29.25°, rel. 32; 30.14°, rel. 100; 31.59°, rel. 50; 40.49°, rel. 20; 42.87°, rel. 21; 42.98°, rel. 27; 43.33°, rel. 34; 51.91°, rel. 25; 52.46°, rel. 32; 62.68°, rel. 19

---

# 3
The following is a calculated X-ray powder pattern of Ho2InAg. It was derived from the PBE geometry in Alexandria, using Cu Kα X-rays.

Structure:
```
Ho2InAg
1.0
3.6178 0.0000 0.0000
0.0000 3.6178 0.0000
0.0000 0.0000 7.6560
Ho In Ag
2 1 1
Direct
0.0000 0.0000 0.2361
0.0000 0.0000 0.7639
0.5000 0.5000 0.5000
0.5000 0.5000 0.0000
```

Largest 12 diffraction maxima, sorted by position, 2θ = 10–80°:
23.24°, rel. 2; 24.61°, rel. 3; 34.10°, rel. 100; 35.08°, rel. 48; 42.50°, rel. 2; 47.50°, rel. 9; 50.45°, rel. 17; 60.40°, rel. 18; 62.30°, rel. 34; 71.81°, rel. 11; 74.13°, rel. 5; 79.68°, rel. 7

---

# 4
The following is a calculated X-ray powder pattern of Tb6HgTe3Se2. It was derived from the PBE geometry in Alexandria, using Cu Kα X-rays.

Structure:
```
Tb6HgTe3Se2
1.0
3.6925 -6.3742 0.0000
3.6925 6.3742 0.0000
-2.4413 0.0000 7.0825
Tb Hg Te Se
6 1 3 2
Direct
0.0881 0.4244 0.7711
0.2399 0.2399 0.2267
0.4244 0.0881 0.7711
0.5756 0.9119 0.2289
0.7601 0.7601 0.7733
0.9119 0.5756 0.2289
0.5000 0.5000 0.0000
0.0000 0.0000 0.5000
0.3337 0.6663 0.5000
0.6663 0.3337 0.5000
0.1663 0.8337 0.0000
0.8337 0.1663 0.0000
```

Largest 12 diffraction maxima, sorted by position, 2θ = 10–80°:
29.49°, rel. 100; 41.84°, rel. 12; 41.97°, rel. 24; 42.44°, rel. 25; 42.55°, rel. 13; 51.62°, rel. 6; 52.42°, rel. 7; 52.62°, rel. 13; 61.21°, rel. 12; 69.06°, rel. 10; 69.73°, rel. 11; 77.44°, rel. 8

---

# 5
The following is a calculated X-ray powder pattern of Sc2CdIn3. It was derived from the PBE geometry in Alexandria, using Cu Kα X-rays.

Structure:
```
Sc2CdIn3
1.0
2.1932 -6.8846 0.0000
2.1932 6.8846 0.0000
0.0000 0.0000 4.4931
Sc Cd In
2 1 3
Direct
0.1593 0.8407 0.0000
0.8407 0.1593 0.0000
0.0000 0.0000 0.5000
0.3274 0.6726 0.5000
0.5000 0.5000 0.0000
0.6726 0.3274 0.5000
```

Largest 12 diffraction maxima, sorted by position, 2θ = 10–80°:
19.76°, rel. 6; 34.62°, rel. 100; 39.26°, rel. 17; 40.14°, rel. 17; 41.16°, rel. 15; 57.39°, rel. 12; 58.19°, rel. 10; 58.84°, rel. 10; 68.19°, rel. 12; 69.40°, rel. 12; 70.81°, rel. 11; 73.04°, rel. 11